1.
Computed PXRD pattern
Compound: HgTe2O2F10
Radiation: Cu Kα (λ = 1.5418 Å)
Structure: the GGA-PBE geometry in Alexandria
Lines closer than 0.1° are merged.

Crystal structure
```
data_HgTe2O2F10
_chemical_formula_sum 'Hg4 Te8 O8 F40'
_symmetry_space_group_name_H-M 'C 1 2/c 1'
_symmetry_Int_Tables_number 15
_cell_length_a 19.285
_cell_length_b 9.073
_cell_length_c 6.059
_cell_angle_alpha 90.00
_cell_angle_beta 98.01
_cell_angle_gamma 90.00
loop_
_symmetry_equiv_pos_as_xyz
'x,y,z'
'-x,-y,-z'
'-x,y,-z+1/2'
'x,-y,z+1/2'
'x+1/2,y+1/2,z'
'-x+1/2,-y+1/2,-z'
'-x+1/2,y+1/2,-z+1/2'
'x+1/2,-y+1/2,z+1/2'
loop_
_atom_site_label
_atom_site_type_symbol
_atom_site_fract_x
_atom_site_fract_y
_atom_site_fract_z
Hg1 Hg 0.000 0.123 0.250
Te1 Te 0.128 0.253 0.660
O1 O 0.063 0.103 0.552
F1 F 0.067 0.403 0.532
F2 F 0.086 0.265 0.925
F3 F 0.171 0.250 0.402
F4 F 0.189 0.110 0.797
F5 F 0.190 0.399 0.778
```

Top 10 peaks for 2θ = 10–80°, low angle first:
d/Å, intensity, index
8.195, 45, 1 1 0
5.211, 21, 3 1 0
4.537, 29, 0 2 0
4.177, 100, 3 1 -1
3.730, 21, 3 1 1
3.290, 42, 4 2 0
2.878, 37, 5 1 1
2.651, 23, 1 3 1
2.353, 24, 6 0 -2
2.049, 21, 4 4 0


2.
Computed PXRD pattern
Compound: Zn2Hg2OF6
Radiation: Cu Kα (λ = 1.5418 Å)
Structure: the GGA-PBE geometry in Alexandria
Lines closer than 0.1° are merged.

Crystal structure
a b c (Å): 10.625 10.625 10.625
angles (deg): 90.00 90.00 90.00
Space group Fd-3m (No. 227, origin choice 2)
Symmetry-distinct sites (fractional):
Zn: 0.000 0.000 0.000 [16 per cell]
Hg: 0.000 0.000 0.500 [16 per cell]
O: 0.125 0.125 0.625 [8 per cell]
F: 0.075 0.375 0.375 [48 per cell]

Top 10 peaks for 2θ = 10–80°, low angle first:
d/Å, intensity, index
6.134, 21, 1 1 1
3.204, 14, 3 1 1
3.067, 100, 2 2 2
2.656, 33, 4 0 0
2.438, 17, 3 3 1
2.045, 9, 5 1 1
1.878, 48, 4 4 0
1.602, 45, 6 2 2
1.534, 11, 4 4 4
1.219, 18, 6 6 2